Theoretical X-ray diffraction stick pattern of SrNbNO2 for CuKα, from a crystal structure in the Materials Project, relaxed with PBE.

abc: 4.084 4.084 4.109
angles: 90.00 90.00 90.00
Sites, in units of the cell vectors:
Sr 0.000 0.000 0.000
Nb 0.500 0.500 0.500
N 0.500 0.500 0.000
O 0.000 0.500 0.500
O 0.500 0.000 0.500

Peak list (6 most intense, 5° ≤ 2θ ≤ 70°, in order of falling intensity)
| d_spacing | intensity |
| --- | --- |
| 2.894 | 100 |
| 1.669 | 27 |
| 2.042 | 22 |
| 1.448 | 13 |
| 1.674 | 13 |
| 2.054 | 11 |

***

Theoretical X-ray diffraction stick pattern of Sr10Nb5N5O14 for CuKα, from a crystal structure in the Materials Project, relaxed with PBE.

abc: 9.046 9.046 9.101
angles: 119.90 119.90 89.54
Sites, in units of the cell vectors:
Sr 0.058 0.350 0.805
Sr 0.143 0.857 0.000
Sr 0.257 0.546 0.600
Sr 0.350 0.058 0.805
Sr 0.454 0.743 0.400
Sr 0.546 0.257 0.600
Sr 0.650 0.942 0.195
Sr 0.743 0.454 0.400
Sr 0.857 0.143 0.000
Sr 0.942 0.650 0.195
Nb 0.101 0.101 0.397
Nb 0.302 0.302 0.200
Nb 0.500 0.500 0.000
Nb 0.698 0.698 0.800
Nb 0.899 0.899 0.603
N 0.103 0.103 0.891
N 0.293 0.293 0.702
N 0.500 0.500 0.500
N 0.707 0.707 0.298
N 0.897 0.897 0.109
O 0.066 0.744 0.593
O 0.137 0.460 0.200
O 0.195 0.195 0.294
O 0.256 0.934 0.407
O 0.336 0.664 0.000
O 0.409 0.409 0.111
O 0.460 0.137 0.200
O 0.540 0.863 0.800
O 0.591 0.591 0.889
O 0.664 0.336 0.000
O 0.744 0.066 0.593
O 0.805 0.805 0.706
O 0.863 0.540 0.800
O 0.934 0.256 0.407

Peak list (6 most intense, 5° ≤ 2θ ≤ 70°, in order of falling intensity)
| d_spacing | intensity |
| --- | --- |
| 2.885 | 100 |
| 2.950 | 68 |
| 2.935 | 67 |
| 1.710 | 27 |
| 2.050 | 26 |
| 2.030 | 25 |

***

Theoretical X-ray diffraction stick pattern of YNb2NO5 for CuKα, from a crystal structure in the Materials Project, relaxed with PBE.

abc: 5.295 15.026 5.939
angles: 90.00 90.33 90.00
Sites, in units of the cell vectors:
Y 0.000 0.248 0.000
Y 0.000 0.752 0.500
Y 0.500 0.250 0.593
Y 0.500 0.750 0.093
Nb 0.018 0.419 0.478
Nb 0.018 0.581 0.978
Nb 0.467 0.082 0.117
Nb 0.467 0.918 0.617
Nb 0.518 0.413 0.107
Nb 0.518 0.587 0.607
Nb 0.986 0.088 0.466
Nb 0.986 0.912 0.966
N 0.275 0.152 0.369
N 0.275 0.848 0.869
N 0.638 0.332 0.909
N 0.638 0.668 0.409
O 0.139 0.333 0.679
O 0.139 0.667 0.179
O 0.145 0.004 0.159
O 0.145 0.996 0.659
O 0.200 0.351 0.211
O 0.200 0.649 0.711
O 0.322 0.496 0.432
O 0.322 0.504 0.932
O 0.347 0.164 0.899
O 0.347 0.836 0.399
O 0.639 0.006 0.420
O 0.639 0.994 0.920
O 0.706 0.352 0.385
O 0.706 0.648 0.885
O 0.777 0.150 0.202
O 0.777 0.850 0.702
O 0.841 0.494 0.164
O 0.841 0.506 0.664
O 0.849 0.168 0.679
O 0.849 0.832 0.179

Peak list (6 most intense, 5° ≤ 2θ ≤ 70°, in order of falling intensity)
| d_spacing | intensity |
| --- | --- |
| 3.097 | 100 |
| 3.108 | 100 |
| 3.829 | 38 |
| 1.819 | 31 |
| 2.648 | 25 |
| 1.841 | 22 |

***

Theoretical X-ray diffraction stick pattern of YNb2NO5 for CuKα, from a crystal structure in the Materials Project, relaxed with PBE.

abc: 5.292 5.850 15.038
angles: 89.93 89.98 89.21
Sites, in units of the cell vectors:
Y 0.000 0.000 0.000
Y 0.000 0.492 0.507
Y 0.473 0.433 0.005
Y 0.476 0.930 0.506
Nb 0.018 0.024 0.335
Nb 0.032 0.521 0.166
Nb 0.464 0.406 0.677
Nb 0.464 0.906 0.829
Nb 0.504 0.893 0.164
Nb 0.529 0.395 0.339
Nb 0.942 0.030 0.670
Nb 0.943 0.531 0.836
N 0.141 0.305 0.088
N 0.218 0.783 0.102
N 0.628 0.099 0.745
N 0.632 0.601 0.759
O 0.130 0.352 0.747
O 0.132 0.853 0.758
O 0.140 0.814 0.421
O 0.232 0.145 0.597
O 0.234 0.285 0.410
O 0.238 0.642 0.906
O 0.333 0.613 0.587
O 0.334 0.114 0.917
O 0.342 0.077 0.264
O 0.349 0.572 0.253
O 0.643 0.101 0.083
O 0.643 0.606 0.423
O 0.710 0.622 0.107
O 0.729 0.131 0.412
O 0.747 0.296 0.598
O 0.747 0.795 0.908
O 0.826 0.320 0.919
O 0.829 0.817 0.586
O 0.833 0.847 0.254
O 0.848 0.336 0.268

Peak list (6 most intense, 5° ≤ 2θ ≤ 70°, in order of falling intensity)
| d_spacing | intensity |
| --- | --- |
| 3.103 | 100 |
| 3.077 | 95 |
| 1.819 | 36 |
| 2.925 | 23 |
| 2.646 | 21 |
| 1.903 | 20 |

***

Theoretical X-ray diffraction stick pattern of YNb2NO5 for CuKα, from a crystal structure in the Materials Project, relaxed with PBE.

abc: 5.288 5.935 15.009
angles: 89.71 89.77 89.76
Sites, in units of the cell vectors:
Y 0.000 0.000 0.000
Y 0.001 0.493 0.497
Y 0.491 0.406 0.004
Y 0.494 0.904 0.501
Nb 0.007 0.525 0.833
Nb 0.024 0.007 0.664
Nb 0.469 0.386 0.330
Nb 0.474 0.880 0.170
Nb 0.509 0.378 0.668
Nb 0.523 0.896 0.837
Nb 0.955 0.527 0.169
Nb 0.987 0.025 0.339
N 0.138 0.804 0.583
N 0.272 0.120 0.401
N 0.638 0.096 0.918
N 0.638 0.578 0.240
O 0.137 0.323 0.918
O 0.142 0.834 0.243
O 0.143 0.338 0.254
O 0.201 0.789 0.897
O 0.207 0.285 0.599
O 0.264 0.630 0.096
O 0.324 0.560 0.754
O 0.344 0.076 0.742
O 0.344 0.093 0.085
O 0.347 0.594 0.415
O 0.635 0.078 0.253
O 0.639 0.577 0.582
O 0.704 0.616 0.902
O 0.706 0.115 0.601
O 0.773 0.794 0.095
O 0.774 0.288 0.398
O 0.825 0.344 0.747
O 0.842 0.810 0.417
O 0.842 0.827 0.758
O 0.847 0.318 0.083

Peak list (6 most intense, 5° ≤ 2θ ≤ 70°, in order of falling intensity)
| d_spacing | intensity |
| --- | --- |
| 3.095 | 100 |
| 3.113 | 35 |
| 2.644 | 16 |
| 2.968 | 15 |
| 3.816 | 13 |
| 3.835 | 12 |

***

Theoretical X-ray diffraction stick pattern of YNb2NO5 for CuKα, from a crystal structure in the Materials Project, relaxed with PBE.

abc: 5.294 5.944 15.043
angles: 89.67 89.30 89.67
Sites, in units of the cell vectors:
Y 0.249 0.298 0.499
Y 0.250 0.793 0.997
Y 0.750 0.207 0.003
Y 0.751 0.702 0.501
Nb 0.220 0.813 0.663
Nb 0.248 0.327 0.838
Nb 0.267 0.815 0.330
Nb 0.284 0.322 0.166
Nb 0.716 0.678 0.834
Nb 0.733 0.185 0.670
Nb 0.752 0.673 0.162
Nb 0.780 0.187 0.337
N 0.108 0.612 0.582
N 0.466 0.578 0.098
N 0.534 0.422 0.902
N 0.892 0.388 0.418
O 0.032 0.593 0.898
O 0.037 0.091 0.601
O 0.100 0.627 0.245
O 0.101 0.118 0.919
O 0.104 0.131 0.257
O 0.396 0.105 0.084
O 0.397 0.615 0.414
O 0.404 0.632 0.757
O 0.417 0.142 0.748
O 0.462 0.081 0.398
O 0.538 0.919 0.602
O 0.583 0.858 0.252
O 0.596 0.368 0.243
O 0.603 0.385 0.586
O 0.604 0.895 0.916
O 0.896 0.869 0.743
O 0.899 0.882 0.081
O 0.900 0.373 0.755
O 0.963 0.909 0.399
O 0.968 0.407 0.102

Peak list (6 most intense, 5° ≤ 2θ ≤ 70°, in order of falling intensity)
| d_spacing | intensity |
| --- | --- |
| 3.091 | 100 |
| 3.129 | 54 |
| 3.107 | 52 |
| 2.647 | 25 |
| 2.972 | 23 |
| 3.822 | 21 |

***

Theoretical X-ray diffraction stick pattern of YNb2NO5 for CuKα, from a crystal structure in the Materials Project, relaxed with PBE.

abc: 5.306 5.797 15.028
angles: 89.73 89.72 89.73
Sites, in units of the cell vectors:
Y 0.000 0.000 0.000
Y 0.002 0.526 0.503
Y 0.498 0.966 0.503
Y 0.501 0.452 0.002
Nb 0.050 0.055 0.331
Nb 0.050 0.543 0.166
Nb 0.448 0.927 0.831
Nb 0.451 0.426 0.670
Nb 0.536 0.924 0.173
Nb 0.547 0.432 0.340
Nb 0.935 0.064 0.671
Nb 0.966 0.557 0.842
N 0.240 0.665 0.907
N 0.351 0.107 0.254
N 0.617 0.115 0.740
N 0.654 0.646 0.419
O 0.119 0.375 0.742
O 0.122 0.878 0.757
O 0.160 0.846 0.417
O 0.161 0.322 0.084
O 0.228 0.187 0.593
O 0.236 0.320 0.405
O 0.257 0.798 0.095
O 0.333 0.142 0.916
O 0.336 0.654 0.588
O 0.371 0.608 0.239
O 0.613 0.614 0.757
O 0.659 0.128 0.083
O 0.734 0.321 0.591
O 0.742 0.164 0.403
O 0.742 0.810 0.904
O 0.768 0.654 0.093
O 0.835 0.328 0.919
O 0.837 0.845 0.586
O 0.865 0.866 0.242
O 0.874 0.373 0.258

Peak list (6 most intense, 5° ≤ 2θ ≤ 70°, in order of falling intensity)
| d_spacing | intensity |
| --- | --- |
| 3.079 | 100 |
| 3.099 | 35 |
| 2.898 | 16 |
| 2.653 | 14 |
| 2.505 | 11 |
| 1.540 | 11 |

***

Theoretical X-ray diffraction stick pattern of YNb2NO5 for CuKα, from a crystal structure in the Materials Project, relaxed with PBE.

abc: 5.283 5.924 14.997
angles: 89.82 89.78 89.80
Sites, in units of the cell vectors:
Y 0.000 0.000 0.000
Y 0.001 0.500 0.498
Y 0.496 0.915 0.501
Y 0.498 0.404 0.002
Nb 0.010 0.530 0.831
Nb 0.016 0.012 0.673
Nb 0.464 0.377 0.339
Nb 0.465 0.885 0.172
Nb 0.515 0.383 0.665
Nb 0.531 0.894 0.835
Nb 0.972 0.533 0.168
Nb 0.988 0.018 0.331
N 0.152 0.826 0.244
N 0.278 0.131 0.400
N 0.644 0.094 0.918
N 0.850 0.826 0.756
O 0.141 0.325 0.917
O 0.145 0.814 0.582
O 0.146 0.337 0.253
O 0.208 0.786 0.898
O 0.223 0.292 0.596
O 0.274 0.624 0.096
O 0.334 0.559 0.752
O 0.341 0.078 0.742
O 0.348 0.094 0.086
O 0.350 0.602 0.418
O 0.644 0.573 0.240
O 0.645 0.590 0.582
O 0.651 0.077 0.254
O 0.706 0.612 0.901
O 0.716 0.121 0.599
O 0.776 0.788 0.097
O 0.777 0.301 0.399
O 0.844 0.330 0.742
O 0.845 0.819 0.418
O 0.856 0.321 0.083

Peak list (6 most intense, 5° ≤ 2θ ≤ 70°, in order of falling intensity)
| d_spacing | intensity |
| --- | --- |
| 3.092 | 100 |
| 3.107 | 35 |
| 3.820 | 25 |
| 2.642 | 16 |
| 1.795 | 16 |
| 2.962 | 15 |